Simulated XRD peak list of AlCd4Ni for Cu Kα (weighted mean of Kα1 and Kα2), from a structure optimized by DFT (GGA-PBE).
Intensities are scaled so that the largest is 100.

Cell and atoms:
Cell: 5.5963 5.5963 5.5963 Å, 60.00 60.00 60.00°
Positions (direct):
Al 0.0000 0.0000 0.0000
Cd 0.1262 0.6246 0.6246
Cd 0.6246 0.1262 0.6246
Cd 0.6246 0.6246 0.1262
Cd 0.6246 0.6246 0.6246
Ni 0.2500 0.2500 0.2500

Principal peaks in the range 10° ≤ 2θ ≤ 80°, by angle:
| 2theta | Rel. int. |
| --- | --- |
| 19.4 | 56.5 |
| 37.7 | 100.0 |
| 39.4 | 70.9 |
| 45.9 | 21.6 |
| 60.8 | 30.9 |
| 66.9 | 29.9 |

Simulated XRD peak list of Al5CdO8 for Cu Kα (weighted mean of Kα1 and Kα2), from a structure optimized by DFT (GGA-PBE).
Intensities are scaled so that the largest is 100.

Cell and atoms:
Cell: 5.9160 5.9160 5.9160 Å, 60.00 60.00 60.00°
Positions (direct):
Al 0.0000 0.0000 0.0000
Al 0.3776 0.3776 0.3776
Al 0.3776 0.3776 0.8671
Al 0.3776 0.8671 0.3776
Al 0.8671 0.3776 0.3776
Cd 0.7500 0.7500 0.7500
O 0.1356 0.1356 0.1356
O 0.1356 0.1356 0.5933
O 0.1356 0.5933 0.1356
O 0.1869 0.6044 0.6044
O 0.5933 0.1356 0.1356
O 0.6044 0.1869 0.6044
O 0.6044 0.6044 0.1869
O 0.6044 0.6044 0.6044

Principal peaks in the range 10° ≤ 2θ ≤ 80°, by angle:
| 2theta | Rel. int. |
| --- | --- |
| 18.4 | 31.3 |
| 30.2 | 65.1 |
| 35.6 | 100.0 |
| 53.7 | 21.3 |
| 57.2 | 41.1 |
| 62.8 | 39.7 |

Simulated XRD peak list of PuAl2CdO8 for Cu Kα (weighted mean of Kα1 and Kα2), from a structure optimized by DFT (GGA-PBE).
Intensities are scaled so that the largest is 100.

Cell and atoms:
Cell: 4.7669 4.7669 6.1966 Å, 90.00 90.00 90.56°
Positions (direct):
Pu 0.0000 0.0000 0.0000
Al 0.5000 0.5000 0.2452
Al 0.5000 0.5000 0.7548
Cd 0.0000 0.0000 0.5000
O 0.2119 0.7881 0.2220
O 0.2119 0.7881 0.7780
O 0.3144 0.3144 0.0000
O 0.3409 0.3409 0.5000
O 0.6591 0.6591 0.5000
O 0.6856 0.6856 0.0000
O 0.7881 0.2119 0.2220
O 0.7881 0.2119 0.7780

Principal peaks in the range 10° ≤ 2θ ≤ 80°, by angle:
| 2theta | Rel. int. |
| --- | --- |
| 18.6 | 100.0 |
| 26.3 | 50.1 |
| 26.6 | 54.8 |
| 34.5 | 74.6 |
| 39.4 | 34.9 |
| 52.2 | 35.8 |

Simulated XRD peak list of RbAlCd2O4 for Cu Kα (weighted mean of Kα1 and Kα2), from a structure optimized by DFT (GGA-PBE).
Intensities are scaled so that the largest is 100.

Cell and atoms:
Cell: 5.6143 5.6143 5.6143 Å, 119.70 119.70 90.51°
Positions (direct):
Rb 0.0000 0.0000 0.0000
Al 0.5000 0.5000 0.0000
Cd 0.2500 0.7500 0.5000
Cd 0.7500 0.2500 0.5000
O 0.1850 0.1850 0.6349
O 0.4499 0.8150 0.0000
O 0.5501 0.5501 0.3651
O 0.8150 0.4499 0.0000

Principal peaks in the range 10° ≤ 2θ ≤ 80°, by angle:
| 2theta | Rel. int. |
| --- | --- |
| 31.7 | 37.4 |
| 31.9 | 100.0 |
| 45.5 | 20.7 |
| 56.6 | 36.7 |
| 56.9 | 21.8 |
| 75.4 | 15.2 |

Simulated XRD peak list of SrAlCd2O4 for Cu Kα (weighted mean of Kα1 and Kα2), from a structure optimized by DFT (GGA-PBE).
Intensities are scaled so that the largest is 100.

Cell and atoms:
Cell: 6.0102 6.0102 6.0102 Å, 128.13 128.13 76.41°
Positions (direct):
Sr 0.0000 0.0000 0.0000
Al 0.5000 0.5000 0.0000
Cd 0.2500 0.7500 0.5000
Cd 0.7500 0.2500 0.5000
O 0.1906 0.1906 0.6001
O 0.4095 0.8094 0.0000
O 0.5905 0.5905 0.3999
O 0.8094 0.4095 0.0000

Principal peaks in the range 10° ≤ 2θ ≤ 80°, by angle:
| 2theta | Rel. int. |
| --- | --- |
| 30.6 | 100.0 |
| 34.1 | 25.5 |
| 49.0 | 15.5 |
| 52.1 | 26.3 |
| 58.9 | 28.1 |
| 64.3 | 10.8 |

Simulated XRD peak list of AlCd2TeO6 for Cu Kα (weighted mean of Kα1 and Kα2), from a structure optimized by DFT (GGA-PBE).
Intensities are scaled so that the largest is 100.

Cell and atoms:
Cell: 5.1793 5.1793 5.0118 Å, 90.00 90.00 90.00°
Positions (direct):
Al 0.0000 0.0000 0.0000
Cd 0.0000 0.5000 0.4463
Cd 0.5000 0.0000 0.4463
Te 0.5000 0.5000 0.0031
O 0.0000 0.0000 0.6457
O 0.2435 0.2435 0.1337
O 0.2435 0.7565 0.1337
O 0.5000 0.5000 0.6129
O 0.7565 0.2435 0.1337
O 0.7565 0.7565 0.1337

Principal peaks in the range 10° ≤ 2θ ≤ 80°, by angle:
| 2theta | Rel. int. |
| --- | --- |
| 17.1 | 13.2 |
| 30.2 | 100.0 |
| 34.6 | 32.6 |
| 49.8 | 20.7 |
| 50.7 | 25.0 |
| 59.4 | 28.4 |

Simulated XRD peak list of AlCdPb for Cu Kα (weighted mean of Kα1 and Kα2), from a structure optimized by DFT (GGA-PBE).
Intensities are scaled so that the largest is 100.

Cell and atoms:
Cell: 7.1431 7.1044 3.3095 Å, 77.22 75.92 26.86°
Positions (direct):
Al 0.0000 0.0000 0.0000
Cd 0.3595 0.3595 0.6405
Pb 0.6681 0.6681 0.3319

Principal peaks in the range 10° ≤ 2θ ≤ 80°, by angle:
| 2theta | Rel. int. |
| --- | --- |
| 13.2 | 25.5 |
| 26.5 | 19.8 |
| 27.8 | 41.6 |
| 33.7 | 100.0 |
| 37.5 | 19.7 |
| 39.5 | 17.0 |

Simulated XRD peak list of AlCd2Pd3 for Cu Kα (weighted mean of Kα1 and Kα2), from a structure optimized by DFT (GGA-PBE).
Intensities are scaled so that the largest is 100.

Cell and atoms:
Cell: 4.3433 7.0191 6.8155 Å, 90.00 106.65 90.00°
Positions (direct):
Al 0.1647 0.0000 0.3268
Al 0.8353 0.0000 0.6732
Cd 0.1683 0.5000 0.3339
Cd 0.5000 0.0000 0.0000
Cd 0.5000 0.5000 0.0000
Cd 0.8317 0.5000 0.6661
Pd 0.0000 0.2353 0.0000
Pd 0.0000 0.7647 0.0000
Pd 0.3229 0.2181 0.6513
Pd 0.3229 0.7819 0.6513
Pd 0.6771 0.2181 0.3487
Pd 0.6771 0.7819 0.3487

Principal peaks in the range 10° ≤ 2θ ≤ 80°, by angle:
| 2theta | Rel. int. |
| --- | --- |
| 38.6 | 100.0 |
| 39.3 | 86.8 |
| 41.5 | 38.8 |
| 41.6 | 39.7 |
| 52.1 | 15.4 |
| 68.8 | 25.8 |

Simulated XRD peak list of Al3CdPd4 for Cu Kα (weighted mean of Kα1 and Kα2), from a structure optimized by DFT (GGA-PBE).
Intensities are scaled so that the largest is 100.

Cell and atoms:
Cell: 7.8182 7.8182 7.8182 Å, 32.54 32.54 32.54°
Positions (direct):
Al 0.0000 0.0000 0.0000
Al 0.2492 0.2492 0.2492
Al 0.7508 0.7508 0.7508
Cd 0.5000 0.5000 0.5000
Pd 0.1133 0.1133 0.1133
Pd 0.3691 0.3691 0.3691
Pd 0.6309 0.6309 0.6309
Pd 0.8867 0.8867 0.8867

Principal peaks in the range 10° ≤ 2θ ≤ 80°, by angle:
| 2theta | Rel. int. |
| --- | --- |
| 28.5 | 35.2 |
| 37.0 | 16.5 |
| 40.3 | 91.9 |
| 41.2 | 100.0 |
| 59.0 | 29.2 |
| 74.5 | 28.8 |

Simulated XRD peak list of AlCd6Pd12 for Cu Kα (weighted mean of Kα1 and Kα2), from a structure optimized by DFT (GGA-PBE).
Intensities are scaled so that the largest is 100.

Cell and atoms:
Cell: 6.9279 6.9279 6.9279 Å, 93.68 93.68 93.68°
Positions (direct):
Al 0.0000 0.0000 0.0000
Cd 0.1249 0.7331 0.3022
Cd 0.2669 0.6978 0.8751
Cd 0.3022 0.1249 0.7331
Cd 0.6978 0.8751 0.2669
Cd 0.7331 0.3022 0.1249
Cd 0.8751 0.2669 0.6978
Pd 0.0330 0.1244 0.3500
Pd 0.1244 0.3500 0.0330
Pd 0.2109 0.4492 0.5372
Pd 0.3500 0.0330 0.1244
Pd 0.4492 0.5372 0.2109
Pd 0.4628 0.7891 0.5508
Pd 0.5372 0.2109 0.4492
Pd 0.5508 0.4628 0.7891
Pd 0.6500 0.9670 0.8756
Pd 0.7891 0.5508 0.4628
Pd 0.8756 0.6500 0.9670
Pd 0.9670 0.8756 0.6500

Principal peaks in the range 10° ≤ 2θ ≤ 80°, by angle:
| 2theta | Rel. int. |
| --- | --- |
| 33.6 | 24.5 |
| 37.9 | 100.0 |
| 39.2 | 23.1 |
| 40.5 | 62.9 |
| 41.6 | 24.4 |
| 42.3 | 31.9 |